The following is a computed powder XRD pattern of Pm3HoPb5. It was derived from a GGA-PBE-relaxed structure, using copper Kα.
Intensities are scaled so that the largest is 1000.

Cell and atoms:
Lattice parameters (Å, degrees): 9.676 9.676 6.604 90.00 90.00 120.00
Fractional positions:
1 Pm 0.000 0.382 0.250
2 Pm 0.000 0.618 0.750
3 Pm 0.382 0.000 0.250
4 Pm 0.382 0.382 0.750
5 Pm 0.618 0.000 0.750
6 Pm 0.618 0.618 0.250
7 Ho 0.000 0.000 0.000
8 Ho 0.000 0.000 0.500
9 Pb 0.000 0.284 0.750
10 Pb 0.000 0.716 0.250
11 Pb 0.284 0.000 0.750
12 Pb 0.284 0.284 0.250
13 Pb 0.333 0.667 0.000
14 Pb 0.333 0.667 0.500
15 Pb 0.667 0.333 0.000
16 Pb 0.667 0.333 0.500
17 Pb 0.716 0.000 0.250
18 Pb 0.716 0.716 0.750

Largest 8 diffraction maxima, in order of rising 2θ, 2θ from 15° to 90°:
2θ (°)	I (rel.)
31.32	408
32.04	877
32.84	1000
41.18	127
46.54	303
57.63	279
65.69	230
76.68	139